Mn2OF3: calculated PXRD pattern (Cu Kα (λ = 1.5418 Å)), based on a DFT-relaxed cell (GGA+U, Alexandria).
Intensities are scaled so that the largest is 100.

Peak list (10 most intense, 10° ≤ 2θ ≤ 80°, sorted by position)
- 25.36 deg, I = 97
- 26.31 deg, I = 99
- 33.80 deg, I = 100
- 38.31 deg, I = 22
- 50.33 deg, I = 65
- 51.40 deg, I = 56
- 52.07 deg, I = 22
- 58.41 deg, I = 20
- 64.38 deg, I = 22
- 64.54 deg, I = 22

Lattice parameters (Å, degrees): 10.2723 10.2723 4.8728 91.98 91.98 35.84
Fractional positions:
Mn 0.0000 0.0000 0.0000
Mn 0.1200 0.6292 0.5000
Mn 0.2591 0.2591 0.0358
Mn 0.3708 0.8800 0.5000
Mn 0.5000 0.5000 0.0000
Mn 0.6292 0.1200 0.5000
Mn 0.7409 0.7409 0.9642
Mn 0.8800 0.3708 0.5000
O 0.0820 0.0820 0.3257
O 0.3334 0.3334 0.3309
O 0.6666 0.6666 0.6691
O 0.9180 0.9180 0.6743
F 0.0503 0.5509 0.7967
F 0.1796 0.1796 0.7154
F 0.1982 0.7001 0.2039
F 0.2999 0.8018 0.7961
F 0.4256 0.4256 0.6999
F 0.4491 0.9497 0.2033
F 0.5509 0.0503 0.7967
F 0.5744 0.5744 0.3001
F 0.7001 0.1982 0.2039
F 0.8018 0.2999 0.7961
F 0.8204 0.8204 0.2846
F 0.9497 0.4491 0.2033